Structure and computed powder diffraction line list of Li5Ti2V3O10 (a cell relaxed with GGA+U; λ = 1.5418 Å (Cu Kα)).
Kinematic intensities with the Lorentz-polarization factor, no thermal factor.

Most intense lines, 10 to 90 degrees two-theta, by angle:
h k l  2theta  Rel. int.
0 1 0  12.30  55
1 0 -1  18.13  100
0 1 2  22.57  18
2 1 0  29.60  17
0 2 -2  42.06  61
3 1 1  43.01  57
-1 3 3  43.14  57
-1 1 5  61.67  15
3 -1 3  61.72  30
-1 5 1  61.99  16

Structure:
```
data_Li5Ti2V3O10
_symmetry_space_group_name_H-M 'P 1'
_symmetry_Int_Tables_number 1
_symmetry_space_group_name_Hall 'P 1'
_cell_length_a 6.6486
_cell_length_b 7.8866
_cell_length_c 7.9197
_cell_angle_alpha 65.86
_cell_angle_beta 89.94
_cell_angle_gamma 89.87
loop_
_atom_site_label
_atom_site_fract_x
_atom_site_fract_y
_atom_site_fract_z
Li1 0.0000 0.0000 0.0000
Li2 0.0795 0.5532 0.1344
Li3 0.1811 0.1808 0.1989
Li4 0.2898 0.2722 0.8177
Li5 0.3957 0.3695 0.4347
Li6 0.4987 0.0008 0.5019
Li7 0.5801 0.5537 0.6327
Li8 0.6802 0.1835 0.6983
Li9 0.7901 0.2755 0.3190
Li10 0.8985 0.3710 0.9319
Ti1 0.0968 0.0867 0.6019
Ti2 0.4802 0.4635 0.0288
Ti3 0.6013 0.0839 0.1066
Ti4 0.9821 0.4689 0.5301
V1 0.1996 0.6779 0.7236
V2 0.2861 0.7787 0.3149
V3 0.3856 0.8759 0.9121
V4 0.6920 0.6738 0.2225
V5 0.7895 0.7789 0.8128
V6 0.8866 0.8791 0.4120
O1 0.0857 0.3206 0.3903
O2 0.0896 0.8447 0.8494
O3 0.1871 0.9304 0.4728
O4 0.2062 0.4378 0.9722
O5 0.2704 0.5316 0.5682
O6 0.3066 0.0267 0.0657
O7 0.3721 0.1200 0.6625
O8 0.4011 0.6220 0.1652
O9 0.4901 0.7053 0.7789
O10 0.4949 0.2340 0.2430
O11 0.5853 0.3201 0.8911
O12 0.5882 0.8427 0.3474
O13 0.6836 0.9267 0.9747
O14 0.7044 0.4404 0.4699
O15 0.7700 0.5332 0.0689
O16 0.8045 0.0311 0.5672
O17 0.8742 0.1221 0.1593
O18 0.9047 0.6231 0.6658
O19 0.9849 0.7046 0.2782
O20 0.9933 0.2363 0.7423
```

***

Structure and computed powder diffraction line list of VCr2Ni3P6O24 (a cell relaxed with GGA+U; λ = 1.5418 Å (Cu Kα)).
Kinematic intensities with the Lorentz-polarization factor, no thermal factor.

Most intense lines, 10 to 90 degrees two-theta, by angle:
h k l  2theta  Rel. int.
1 1 0  20.61  90
1 1 3  24.54  100
2 1 1  32.04  15
1 1 6  33.81  68
3 0 0  36.11  43
3 -2 8  48.42  31
4 -2 6  50.30  27
4 1 0  56.51  24
4 -1 8  57.61  16
4 1 6  63.47  22

Structure:
```
data_VCr2Ni3P6O24
_symmetry_space_group_name_H-M 'R 3'
_symmetry_Int_Tables_number 146
_symmetry_space_group_name_Hall 'R 3'
_cell_length_a 8.6173
_cell_length_b 8.6173
_cell_length_c 20.1747
_cell_angle_alpha 90.00
_cell_angle_beta 90.00
_cell_angle_gamma 120.00
loop_
_atom_site_label
_atom_site_fract_x
_atom_site_fract_y
_atom_site_fract_z
V1 0.0000 0.0000 0.0000
Cr1 0.0000 0.0000 0.3515
Cr2 0.0000 0.0000 0.8528
Ni1 0.0000 0.0000 0.2114
Ni2 0.0000 0.0000 0.4961
Ni3 0.0000 0.0000 0.7093
P1 0.9996 0.7027 0.6038
P2 0.0008 0.2996 0.1056
O1 0.0046 0.8284 0.2821
O2 0.0102 0.1784 0.7813
O3 0.0154 0.2084 0.1663
O4 0.0150 0.8041 0.6667
O5 0.1273 0.6675 0.2068
O6 0.1587 0.4757 0.7102
O7 0.1659 0.4814 0.0871
O8 0.1691 0.1625 0.9287
```

***

Structure and computed powder diffraction line list of MgMn6O8F4 (a cell relaxed with GGA+U; λ = 1.5418 Å (Cu Kα)).
Kinematic intensities with the Lorentz-polarization factor, no thermal factor.

Most intense lines, 10 to 90 degrees two-theta, by angle:
h k l  2theta  Rel. int.
1 1 1  25.17  100
-1 1 1  26.16  97
1 1 -2  34.24  28
1 -1 2  34.61  56
0 2 -1  34.93  22
2 0 0  35.96  24
1 2 -1  38.96  24
1 1 4  51.01  33
-1 1 4  51.82  31
-2 2 2  53.84  21

Structure:
```
data_MgMn6O8F4
_symmetry_space_group_name_H-M 'P 1'
_symmetry_Int_Tables_number 1
_symmetry_space_group_name_Hall 'P 1'
_cell_length_a 4.9986
_cell_length_b 5.6877
_cell_length_c 7.8232
_cell_angle_alpha 83.80
_cell_angle_beta 89.17
_cell_angle_gamma 87.80
loop_
_atom_site_label
_atom_site_fract_x
_atom_site_fract_y
_atom_site_fract_z
Mg1 0.0000 0.0000 0.0000
Mn1 0.9998 0.6160 0.8318
Mn2 0.0328 0.3852 0.1880
Mn3 0.4727 0.1099 0.8082
Mn4 0.5219 0.8077 0.1809
Mn5 0.5226 0.4826 0.4879
Mn6 0.9805 0.0083 0.5108
O1 0.1640 0.3186 0.9368
O2 0.3372 0.2010 0.5764
O3 0.3452 0.8388 0.9548
O4 0.3467 0.5322 0.2758
O5 0.6809 0.7854 0.4042
O6 0.8275 0.3183 0.3985
O7 0.8338 0.9434 0.7666
O8 0.8573 0.6579 0.0649
F1 0.1565 0.0371 0.2425
F2 0.1997 0.6804 0.6056
F3 0.6714 0.1285 0.0891
F4 0.6834 0.4461 0.7248
```

***

Structure and computed powder diffraction line list of VPO5 (a cell relaxed with GGA+U; λ = 1.5418 Å (Cu Kα)).
Kinematic intensities with the Lorentz-polarization factor, no thermal factor.

Most intense lines, 10 to 90 degrees two-theta, by angle:
h k l  2theta  Rel. int.
0 2 0  16.96  23
1 0 0  19.25  53
1 1 -1  20.27  85
1 1 0  21.06  28
0 2 1  21.62  100
1 2 0  25.77  24
1 1 -2  27.21  71
0 3 1  28.92  30
1 2 1  32.64  68
1 4 1  44.64  32

Structure:
```
data_VPO5
_symmetry_space_group_name_H-M 'P 1 21/c 1'
_symmetry_Int_Tables_number 14
_symmetry_space_group_name_Hall '-P 2ybc'
_cell_length_a 5.0524
_cell_length_b 10.4539
_cell_length_c 7.2959
_cell_angle_alpha 90.00
_cell_angle_beta 114.15
_cell_angle_gamma 90.00
loop_
_atom_site_label
_atom_site_fract_x
_atom_site_fract_y
_atom_site_fract_z
V1 0.0737 0.0735 0.1760
P1 0.2832 0.6505 0.0277
O1 0.1326 0.7189 0.4559
O2 0.1551 0.5834 0.1570
O3 0.2239 0.0411 0.0043
O4 0.2525 0.5716 0.8402
O5 0.3867 0.1767 0.3508
```

***

Structure and computed powder diffraction line list of Li2MnCr3O8 (a cell relaxed with GGA+U; λ = 1.5418 Å (Cu Kα)).
Kinematic intensities with the Lorentz-polarization factor, no thermal factor.

Most intense lines, 10 to 90 degrees two-theta, by angle:
h k l  2theta  Rel. int.
0 0 1  18.01  100
0 2 -1  35.69  21
-2 2 1  35.77  11
0 2 0  37.23  5
2 0 0  42.90  19
0 2 -2  43.18  37
2 -2 1  46.94  6
2 0 1  56.31  5
2 -2 2  61.88  9
2 2 -2  63.12  15

Structure:
```
data_Li2MnCr3O8
_symmetry_space_group_name_H-M 'P -1'
_symmetry_Int_Tables_number 2
_symmetry_space_group_name_Hall '-P 1'
_cell_length_a 5.8888
_cell_length_b 5.8919
_cell_length_c 5.9618
_cell_angle_alpha 90.12
_cell_angle_beta 119.13
_cell_angle_gamma 119.96
loop_
_atom_site_label
_atom_site_fract_x
_atom_site_fract_y
_atom_site_fract_z
Li1 0.0000 0.0000 0.0000
Li2 0.0000 0.5000 0.0000
Mn1 0.0000 0.0000 0.5000
Cr1 0.0000 0.5000 0.5000
Cr2 0.5000 0.0000 0.5000
Cr3 0.5000 0.5000 0.5000
O1 0.0283 0.7711 0.2891
O2 0.0297 0.2575 0.2868
O3 0.4651 0.2394 0.7029
O4 0.4727 0.7271 0.6986
```

***

Q: What is the formula in the first record?
A: Li5Ti2V3O10